Diffraction record for Na2FeCoAs2. The powder X-ray diffraction pattern is simulated, not measured: it uses a crystal structure in OQMD, relaxed with PBE and CuKα.
Neutral-atom scattering factors, no anomalous dispersion.

Most intense lines, 5 to 70 degrees two-theta, most intense first:
two_theta  I_rel
13.16  100
42.21  61
46.26  38
26.29  37
35.13  36
52.46  22
59.39  15
34.97  14

Crystal structure
Lattice parameters (Å, degrees): 3.925 3.925 6.728 90.00 90.00 90.00
Atoms (fractional coordinates):
1 Na 0.000 0.500 0.155
2 Na 0.500 0.000 0.845
3 Fe 0.000 0.000 0.500
4 Co 0.500 0.500 0.500
5 As 0.000 0.500 0.692
6 As 0.500 0.000 0.308